(1)
The following is a calculated powder diffraction line list of Nd2Cu9Au. It was derived from a crystal structure in Alexandria, relaxed with GGA-PBE, using copper Kα.
Lines closer than 0.1° are merged.

Most intense lines, 2θ from 15° to 90°, by angle:
| 2θ/deg | I_rel |
| --- | --- |
| 32.28 | 511 |
| 34.80 | 639 |
| 35.27 | 615 |
| 40.57 | 518 |
| 41.08 | 203 |
| 41.28 | 1000 |
| 48.37 | 258 |
| 62.69 | 226 |
| 66.81 | 228 |
| 73.46 | 268 |

Structure:
```
Nd2Cu9Au
1.0
2.5781 1.4885 8.2577
-2.5781 1.4885 8.2577
0.0000 -2.9770 8.2577
Nd Cu Au
2 9 1
direct
0.1325 0.1325 0.1325
0.8675 0.8675 0.8675
0.0785 0.5801 0.5801
0.3329 0.3329 0.3329
0.4199 0.4199 0.9215
0.4199 0.9215 0.4199
0.5000 0.5000 0.5000
0.5801 0.0785 0.5801
0.5801 0.5801 0.0785
0.6671 0.6671 0.6671
0.9215 0.4199 0.4199
0.0000 0.0000 0.0000
```

---

(2)
The following is a calculated powder diffraction line list of Ag2GeSbS4. It was derived from a crystal structure in Alexandria, relaxed with GGA-PBE, using copper Kα.
Lines closer than 0.1° are merged.

Most intense lines, 2θ from 15° to 90°, by angle:
| 2θ/deg | I_rel |
| --- | --- |
| 24.14 | 306 |
| 26.40 | 560 |
| 27.21 | 391 |
| 27.57 | 1000 |
| 38.27 | 218 |
| 40.46 | 248 |
| 46.27 | 257 |
| 47.32 | 436 |
| 48.97 | 188 |
| 54.06 | 199 |

Structure:
```
Ag2GeSbS4
1.0
8.9168 0.0000 0.0000
0.0000 6.5554 0.0000
0.0000 0.0000 6.7516
Ag Ge Sb S
4 2 2 8
direct
0.2480 0.1930 0.0000
0.2520 0.8070 0.5000
0.7480 0.8070 0.5000
0.7520 0.1930 0.0000
0.0000 0.3359 0.5074
0.5000 0.6641 0.0074
0.0000 0.7145 0.0381
0.5000 0.2855 0.5381
0.0000 0.3472 0.1454
0.0000 0.6615 0.6245
0.2176 0.1839 0.6240
0.2824 0.8161 0.1240
0.5000 0.3385 0.1245
0.5000 0.6528 0.6454
0.7176 0.8161 0.1240
0.7824 0.1839 0.6240
```

---

(3)
The following is a calculated powder diffraction line list of CsGeB3O7. It was derived from a crystal structure in Alexandria, relaxed with GGA-PBE, using copper Kα.
Lines closer than 0.1° are merged.

Most intense lines, 2θ from 15° to 90°, by angle:
| 2θ/deg | I_rel |
| --- | --- |
| 17.78 | 222 |
| 23.40 | 815 |
| 23.90 | 1000 |
| 25.09 | 508 |
| 25.40 | 516 |
| 27.89 | 241 |
| 29.01 | 266 |
| 37.86 | 274 |
| 38.75 | 349 |
| 43.48 | 278 |

Structure:
```
CsGeB3O7
1.0
9.6875 0.0000 0.0000
0.0000 10.1670 0.0000
0.0000 0.0000 7.0997
Cs Ge B O
4 4 12 28
direct
0.0000 0.1761 0.0000
0.0000 0.8239 0.5000
0.5000 0.3239 0.0000
0.5000 0.6761 0.5000
0.2272 0.3889 0.4867
0.2728 0.8889 0.9867
0.7272 0.1111 0.4867
0.7728 0.6111 0.9867
0.0458 0.7135 0.9552
0.1578 0.5630 0.1898
0.1762 0.5100 0.8594
0.3238 0.0100 0.3594
0.3422 0.0630 0.6898
0.4542 0.2135 0.4552
0.5458 0.7865 0.9552
0.6578 0.9370 0.1898
0.6762 0.9900 0.8594
0.8238 0.4900 0.3594
0.8422 0.4370 0.6898
0.9542 0.2865 0.4552
0.0811 0.6709 0.1485
0.0975 0.6153 0.8134
0.1046 0.2682 0.4340
0.1061 0.8445 0.9158
0.1926 0.5435 0.3767
0.2041 0.4778 0.0492
0.2369 0.4245 0.7330
0.2631 0.9245 0.2330
0.2959 0.9778 0.5492
0.3074 0.0435 0.8767
0.3939 0.3445 0.4158
0.3954 0.7682 0.9340
0.4025 0.1153 0.3134
0.4189 0.1709 0.6485
0.5811 0.8291 0.1485
0.5975 0.8847 0.8134
0.6046 0.2318 0.4340
0.6061 0.6555 0.9158
0.6926 0.9565 0.3767
0.7041 0.0222 0.0492
0.7369 0.0755 0.7330
0.7631 0.5755 0.2330
0.7959 0.5222 0.5492
0.8074 0.4565 0.8767
0.8939 0.1555 0.4158
0.8954 0.7318 0.9340
0.9025 0.3847 0.3134
0.9189 0.3291 0.6485
```

---

(4)
The following is a calculated powder diffraction line list of Dy3AlGa12. It was derived from a crystal structure in Alexandria, relaxed with GGA-PBE, using copper Kα.
Lines closer than 0.1° are merged.

Most intense lines, 2θ from 15° to 90°, by angle:
| 2θ/deg | I_rel |
| --- | --- |
| 20.96 | 49 |
| 29.75 | 62 |
| 36.65 | 1000 |
| 42.40 | 157 |
| 42.66 | 331 |
| 61.71 | 202 |
| 61.92 | 107 |
| 73.78 | 108 |
| 74.15 | 245 |
| 77.92 | 101 |

Structure:
```
Dy3AlGa12
1.0
4.2387 0.0000 0.0000
0.0000 4.2387 0.0000
0.0000 0.0000 17.0565
Dy Al Ga
3 1 12
direct
0.0000 0.0000 0.0000
0.0000 0.0000 0.2537
0.0000 0.0000 0.7463
0.0000 0.0000 0.5000
0.0000 0.5000 0.1268
0.0000 0.5000 0.3851
0.0000 0.5000 0.6149
0.0000 0.5000 0.8732
0.5000 0.0000 0.1268
0.5000 0.0000 0.3851
0.5000 0.0000 0.6149
0.5000 0.0000 0.8732
0.5000 0.5000 0.0000
0.5000 0.5000 0.2458
0.5000 0.5000 0.5000
0.5000 0.5000 0.7542
```

---

(5)
The following is a calculated powder diffraction line list of Na2TcCl5O. It was derived from a crystal structure in Alexandria, relaxed with GGA-PBE, using copper Kα.
Lines closer than 0.1° are merged.

Most intense lines, 2θ from 15° to 90°, by angle:
| 2θ/deg | I_rel |
| --- | --- |
| 17.03 | 506 |
| 17.61 | 1000 |
| 28.51 | 460 |
| 34.44 | 810 |
| 38.94 | 447 |
| 39.77 | 276 |
| 45.30 | 310 |
| 49.51 | 250 |
| 50.42 | 215 |
| 53.60 | 208 |

Structure:
```
Na2TcCl5O
1.0
-3.6824 3.6824 5.0356
3.6824 -3.6824 5.0356
3.6824 3.6824 -5.0356
Na Tc Cl O
2 1 5 1
direct
0.0000 0.5000 0.5000
0.5000 0.0000 0.5000
0.3958 0.3958 0.0000
0.1779 0.1779 0.5344
0.1779 0.6435 0.0000
0.6337 0.6337 0.0000
0.6435 0.1779 0.0000
0.6435 0.6435 0.4656
0.2290 0.2290 0.0000
```

---

(6)
The following is a calculated powder diffraction line list of Ta2ZnCl. It was derived from a crystal structure in Alexandria, relaxed with GGA-PBE, using copper Kα.
Lines closer than 0.1° are merged.

Most intense lines, 2θ from 15° to 90°, by angle:
| 2θ/deg | I_rel |
| --- | --- |
| 32.90 | 140 |
| 36.87 | 1000 |
| 37.92 | 168 |
| 38.69 | 245 |
| 39.88 | 104 |
| 42.77 | 348 |
| 50.90 | 110 |
| 55.29 | 114 |
| 68.83 | 159 |
| 78.10 | 110 |

Structure:
```
Ta2ZnCl
1.0
1.7939 -2.3274 0.0000
1.7939 2.3274 0.0000
0.0000 0.0000 9.4906
Ta Zn Cl
2 1 1
direct
0.0000 0.0000 0.0000
0.5000 0.5000 0.2311
0.5000 0.5000 0.7894
0.0000 0.0000 0.4287
```

---

(7)
The following is a calculated powder diffraction line list of I. It was derived from a crystal structure in Alexandria, relaxed with GGA-PBE, using copper Kα.
Lines closer than 0.1° are merged.

Most intense lines, 2θ from 15° to 90°, by angle:
| 2θ/deg | I_rel |
| --- | --- |
| 18.31 | 909 |
| 20.16 | 1000 |
| 24.06 | 318 |
| 30.36 | 203 |
| 31.56 | 465 |
| 32.49 | 221 |
| 34.23 | 237 |
| 37.38 | 286 |
| 42.23 | 202 |
| 43.90 | 186 |

Structure:
```
I
1.0
8.8104 0.0000 0.0000
0.0000 13.5755 0.0000
0.0000 0.0000 6.4197
I
12
direct
0.2500 0.0358 0.0316
0.2500 0.2500 0.9783
0.2500 0.4642 0.0316
0.2500 0.5928 0.6693
0.2500 0.7500 0.3504
0.2500 0.9072 0.6693
0.7500 0.0928 0.3307
0.7500 0.2500 0.6496
0.7500 0.4072 0.3307
0.7500 0.5358 0.9684
0.7500 0.7500 0.0217
0.7500 0.9642 0.9684
```

---

(8)
The following is a calculated powder diffraction line list of DyNiC. It was derived from a crystal structure in Alexandria, relaxed with GGA-PBE, using copper Kα.
Lines closer than 0.1° are merged.

Most intense lines, 2θ from 15° to 90°, by angle:
| 2θ/deg | I_rel |
| --- | --- |
| 30.16 | 732 |
| 30.29 | 482 |
| 33.72 | 971 |
| 40.02 | 382 |
| 40.23 | 1000 |
| 50.98 | 329 |
| 53.48 | 181 |
| 53.73 | 197 |
| 62.67 | 286 |
| 69.06 | 207 |

Structure:
```
DyNiC
1.0
2.2531 -5.9013 0.0000
2.2531 5.9013 0.0000
0.0000 0.0000 3.4269
Dy Ni C
2 2 2
direct
0.1508 0.8492 0.0000
0.8492 0.1508 0.0000
0.3983 0.6017 0.5000
0.6017 0.3983 0.5000
0.1531 0.1531 0.5000
0.8469 0.8469 0.5000
```

---

(9)
The following is a calculated powder diffraction line list of NaLi5In6. It was derived from a crystal structure in Alexandria, relaxed with GGA-PBE, using copper Kα.
Lines closer than 0.1° are merged.

Most intense lines, 2θ from 15° to 90°, by angle:
| 2θ/deg | I_rel |
| --- | --- |
| 17.15 | 344 |
| 22.88 | 1000 |
| 26.22 | 831 |
| 27.72 | 834 |
| 34.19 | 259 |
| 35.91 | 979 |
| 36.61 | 400 |
| 38.50 | 396 |
| 38.55 | 392 |
| 39.20 | 267 |

Structure:
```
NaLi5In6
1.0
5.2939 0.0000 0.0000
0.1064 6.4370 0.0000
1.6862 3.1281 7.4961
Na Li In
1 5 6
direct
0.0000 0.0000 0.0000
0.0000 0.5000 0.0000
0.2268 0.3326 0.3332
0.2452 0.8350 0.3301
0.7548 0.1650 0.6699
0.7732 0.6674 0.6668
0.2600 0.4246 0.6576
0.2619 0.9176 0.6574
0.4984 0.2631 0.9997
0.5016 0.7369 0.0003
0.7381 0.0824 0.3426
0.7400 0.5754 0.3424
```

---

(10)
The following is a calculated powder diffraction line list of Pu5Ru4Rh. It was derived from a crystal structure in Alexandria, relaxed with GGA-PBE, using copper Kα.
Lines closer than 0.1° are merged.

Most intense lines, 2θ from 15° to 90°, by angle:
| 2θ/deg | I_rel |
| --- | --- |
| 25.47 | 94 |
| 26.73 | 169 |
| 37.26 | 1000 |
| 38.16 | 469 |
| 52.33 | 95 |
| 55.07 | 164 |
| 66.58 | 186 |
| 68.38 | 345 |
| 79.42 | 114 |
| 88.95 | 89 |

Structure:
```
Pu5Ru4Rh
1.0
3.3350 0.0000 0.0000
0.0000 3.3350 0.0000
0.0000 0.0000 17.4843
Pu Ru Rh
5 4 1
direct
0.0000 0.0000 0.0000
0.0000 0.0000 0.1989
0.0000 0.0000 0.3981
0.0000 0.0000 0.6019
0.0000 0.0000 0.8011
0.5000 0.5000 0.0993
0.5000 0.5000 0.2991
0.5000 0.5000 0.7009
0.5000 0.5000 0.9007
0.5000 0.5000 0.5000
```

---

(11)
The following is a calculated powder diffraction line list of K3DyAs2S8. It was derived from a crystal structure in Alexandria, relaxed with GGA-PBE, using copper Kα.
Lines closer than 0.1° are merged.

Most intense lines, 2θ from 15° to 90°, by angle:
| 2θ/deg | I_rel |
| --- | --- |
| 19.38 | 520 |
| 22.45 | 720 |
| 26.63 | 1000 |
| 28.40 | 820 |
| 28.90 | 733 |
| 30.36 | 501 |
| 35.25 | 455 |
| 35.73 | 528 |
| 38.88 | 498 |
| 39.75 | 531 |

Structure:
```
K3DyAs2S8
1.0
5.2386 -9.6828 0.0000
5.2386 9.6828 0.0000
-4.2404 0.0000 8.0260
K Dy As S
6 2 4 16
direct
0.0000 0.0000 0.0000
0.0000 0.0000 0.5000
0.2447 0.7553 0.7500
0.4963 0.5037 0.7500
0.5037 0.4963 0.2500
0.7553 0.2447 0.2500
0.2574 0.7426 0.2500
0.7426 0.2574 0.7500
0.1552 0.4072 0.9028
0.4072 0.1552 0.4028
0.5928 0.8448 0.5972
0.8448 0.5928 0.0972
0.0008 0.6433 0.3397
0.0260 0.3771 0.0618
0.2309 0.2626 0.8752
0.2626 0.2309 0.3752
0.3386 0.6315 0.4698
0.3567 0.9992 0.1603
0.3685 0.6614 0.0302
0.3771 0.0260 0.5618
0.6229 0.9740 0.4382
0.6315 0.3386 0.9698
0.6433 0.0008 0.8397
0.6614 0.3685 0.5302
0.7374 0.7691 0.6248
0.7691 0.7374 0.1248
0.9740 0.6229 0.9382
0.9992 0.3567 0.6603
```

---

(12)
The following is a calculated powder diffraction line list of Th3Al2Au4. It was derived from a crystal structure in Alexandria, relaxed with GGA-PBE, using copper Kα.
Lines closer than 0.1° are merged.

Most intense lines, 2θ from 15° to 90°, by angle:
| 2θ/deg | I_rel |
| --- | --- |
| 30.49 | 156 |
| 30.83 | 494 |
| 32.05 | 267 |
| 32.77 | 504 |
| 33.42 | 1000 |
| 38.35 | 698 |
| 39.33 | 418 |
| 51.60 | 144 |
| 68.92 | 204 |
| 70.65 | 147 |

Structure:
```
Th3Al2Au4
1.0
5.6188 -2.2910 0.0000
5.6188 2.2910 0.0000
-3.6937 0.0000 8.0503
Th Al Au
3 2 4
direct
0.0000 0.0000 0.0000
0.3591 0.3591 0.3172
0.6409 0.6409 0.6828
0.3520 0.3520 0.6843
0.6480 0.6480 0.3157
0.0909 0.0909 0.4120
0.2974 0.2974 0.9414
0.7026 0.7026 0.0586
0.9091 0.9091 0.5880
```